Starting from the GGA-PBE geometry in the Materials Project, the XRD peak list of CaPIO8 was calculated for λ = 1.5418 Å (Cu Kα).
Intensities are scaled so that the largest is 100.

Crystal structure
Cell: 7.1261 7.8756 6.9615 Å, 90.00 110.00 90.00°
Space group P2/c (No. 13)
Symmetry-distinct sites (fractional):
1 Ca 0.0000 0.1118 0.2500 (multiplicity 2)
2 P 0.0000 0.2778 0.7500 (multiplicity 2)
3 I 0.5000 0.3434 0.2500 (multiplicity 2)
4 O 0.0480 0.1685 0.5942 (multiplicity 4)
5 O 0.1674 0.4222 0.8561 (multiplicity 4)
6 O 0.3202 0.2044 0.2979 (multiplicity 4)
7 O 0.3623 0.3313 0.9223 (multiplicity 4)

The 8 most intense peaks (2θ = 10–90°), low angle first:
| 2theta | Rel. int. | (hkl) |
| --- | --- | --- |
| 11.23 | 28.7 | 0 1 0 |
| 17.38 | 61.1 | 1 1 0 |
| 17.62 | 40.1 | 0 1 1 |
| 19.07 | 100.0 | 1 1 -1 |
| 24.77 | 35.1 | 1 1 1 |
| 26.62 | 32.7 | 2 0 0 |
| 27.27 | 38.3 | 0 0 2 |
| 27.42 | 69.1 | 1 2 -1 |


Starting from the GGA-PBE geometry in the Materials Project, the XRD peak list of Ca2PI was calculated for λ = 1.5418 Å (Cu Kα).
Intensities are scaled so that the largest is 100.

Crystal structure
Cell: 4.3104 4.3104 22.4638 Å, 90.00 90.00 120.00°
Space group R-3m (No. 166, hexagonal axes)
Symmetry-distinct sites (fractional):
1 Ca 0.0000 0.0000 0.2293 (multiplicity 6)
2 P 0.0000 0.0000 0.5000 (multiplicity 3)
3 I 0.0000 0.0000 0.0000 (multiplicity 3)

The 8 most intense peaks (2θ = 10–90°), low angle first:
| 2theta | Rel. int. | (hkl) |
| --- | --- | --- |
| 11.82 | 15.9 | 0 0 3 |
| 24.17 | 31.5 | 1 0 1 |
| 28.72 | 100.0 | 1 0 4 |
| 31.15 | 32.1 | 0 1 5 |
| 40.19 | 29.1 | 0 1 8 |
| 41.92 | 37.5 | 1 1 0 |
| 51.60 | 18.0 | 0 2 4 |
| 56.41 | 15.7 | 1 1 9 |


Starting from the GGA-PBE geometry in the Materials Project, the XRD peak list of Ca2PI was calculated for λ = 1.5418 Å (Cu Kα).
Intensities are scaled so that the largest is 100.

Crystal structure
Cell: 4.2079 4.2590 7.9517 Å, 85.60 87.89 60.44°
Space group P1 (No. 1)
Symmetry-distinct sites (fractional):
1 Ca 0.0000 0.0000 0.0000 (multiplicity 1)
2 Ca 0.3403 0.3743 0.6332 (multiplicity 1)
3 P 0.6685 0.6894 0.8154 (multiplicity 1)
4 I 0.7378 0.5993 0.3129 (multiplicity 1)

The 8 most intense peaks (2θ = 10–90°), low angle first:
| 2theta | Rel. int. | (hkl) |
| --- | --- | --- |
| 11.16 | 55.8 | 0 0 1 |
| 24.35 | 78.3 | 1 0 0 |
| 25.90 | 83.0 | 0 1 1 |
| 26.84 | 87.9 | 1 0 1 |
| 27.56 | 73.4 | 1 1 -1 |
| 32.23 | 89.9 | 1 1 2 |
| 33.31 | 100.0 | 1 0 -2 |
| 34.27 | 68.6 | 0 1 -2 |


Starting from the GGA-PBE geometry in the Materials Project, the XRD peak list of CaPbI4 was calculated for λ = 1.5418 Å (Cu Kα).
Intensities are scaled so that the largest is 100.

Crystal structure
Cell: 17.1342 4.6132 8.0640 Å, 90.00 118.07 90.00°
Space group C2/m (No. 12)
Symmetry-distinct sites (fractional):
1 Ca 0.0000 0.0000 0.0000 (multiplicity 2)
2 Pb 0.0000 0.5000 0.5000 (multiplicity 2)
3 I 0.1173 0.5000 0.9576 (multiplicity 4)
4 I 0.1191 0.0000 0.4441 (multiplicity 4)

The 8 most intense peaks (2θ = 10–90°), low angle first:
| 2theta | Rel. int. | (hkl) |
| --- | --- | --- |
| 11.71 | 50.0 | 2 0 0 |
| 12.44 | 19.7 | 0 0 1 |
| 25.03 | 49.9 | 0 0 2 |
| 25.17 | 100.0 | 3 1 -1 |
| 32.47 | 27.3 | 2 0 2 |
| 32.58 | 53.1 | 5 1 -1 |
| 38.77 | 36.8 | 3 1 -3 |
| 42.35 | 42.2 | 5 1 1 |